Simulated powder XRD pattern
Compound: KAgC2N2
Radiation: λ = 1.5418 Å (Cu Kα)
Structure: a crystal structure in the Materials Project, relaxed with GGA-PBE

Crystal structure
Unit cell a=7.5742 b=7.5742 c=17.6904 alpha=90.00 beta=90.00 gamma=120.00
Sites, in units of the cell vectors:
K  0.0000  0.0000  0.0000
K  0.0000  0.0000  0.5000
K  0.3333  0.6667  0.0033
K  0.3333  0.6667  0.4967
K  0.6667  0.3333  0.5033
K  0.6667  0.3333  0.9967
Ag  0.1668  0.3336  0.7500
Ag  0.1668  0.8332  0.7500
Ag  0.3336  0.1668  0.2500
Ag  0.6664  0.8332  0.7500
Ag  0.8332  0.1668  0.2500
Ag  0.8332  0.6664  0.2500
C  0.0535  0.3321  0.6445
C  0.0535  0.7214  0.8555
C  0.2786  0.3321  0.8555
C  0.2786  0.9465  0.6445
C  0.3321  0.0535  0.1445
C  0.3321  0.2786  0.3555
C  0.6679  0.7214  0.6445
C  0.6679  0.9465  0.8555
C  0.7214  0.0535  0.3555
C  0.7214  0.6679  0.1445
C  0.9465  0.2786  0.1445
C  0.9465  0.6679  0.3555
N  0.0064  0.3366  0.0830
N  0.0064  0.6698  0.4170
N  0.3302  0.3366  0.4170
N  0.3302  0.9936  0.0830
N  0.3366  0.0064  0.5830
N  0.3366  0.3302  0.9170
N  0.6634  0.6698  0.0830
N  0.6634  0.9936  0.4170
N  0.6698  0.0064  0.9170
N  0.6698  0.6634  0.5830
N  0.9936  0.3302  0.5830
N  0.9936  0.6634  0.9170

Main lines, low angle first (10 to 90 degrees two-theta):
2θ (°)	d_spacing	Rel. int.
10.0	8.845	53.7
14.4	6.150	52.1
20.1	4.423	46.1
20.3	4.385	21.7
25.6	3.481	80.0
27.7	3.225	100.0
29.0	3.075	26.8
31.2	2.866	58.9
37.4	2.405	34.3
38.7	2.326	26.6
42.6	2.123	20.8
52.6	1.741	40.8



Simulated powder XRD pattern
Compound: TbErO3
Radiation: λ = 1.5418 Å (Cu Kα)
Structure: a crystal structure in the Materials Project, relaxed with GGA-PBE

Crystal structure
Unit cell a=5.9376 b=8.4025 c=5.6818 alpha=90.00 beta=90.00 gamma=90.00
Sites, in units of the cell vectors:
Tb  0.0534  0.2500  0.0167
Tb  0.4466  0.7500  0.5167
Tb  0.5534  0.2500  0.4833
Tb  0.9466  0.7500  0.9833
Er  0.0000  0.0000  0.5000
Er  0.0000  0.5000  0.5000
Er  0.5000  0.0000  0.0000
Er  0.5000  0.5000  0.0000
O  0.0747  0.7500  0.3543
O  0.1854  0.5768  0.8182
O  0.1854  0.9232  0.8182
O  0.3146  0.0768  0.3182
O  0.3146  0.4232  0.3182
O  0.4253  0.2500  0.8543
O  0.5747  0.7500  0.1457
O  0.6854  0.5768  0.6818
O  0.6854  0.9232  0.6818
O  0.8146  0.0768  0.1818
O  0.8146  0.4232  0.1818
O  0.9253  0.2500  0.6457

Main lines, low angle first (10 to 90 degrees two-theta):
2θ (°)	d_spacing	Rel. int.
30.1	2.969	21.6
30.4	2.936	100.0
31.5	2.841	21.7
43.1	2.101	11.6
44.1	2.053	17.8
53.4	1.715	10.6
53.7	1.708	14.7
54.3	1.689	11.4
55.4	1.658	23.2
63.4	1.468	10.8
71.1	1.325	9.5
72.7	1.301	8.1



Simulated powder XRD pattern
Compound: Ti2AlGe3
Radiation: λ = 1.5418 Å (Cu Kα)
Structure: a crystal structure in the Materials Project, relaxed with GGA-PBE

Crystal structure
Unit cell a=3.6979 b=7.2803 c=7.2803 alpha=29.43 beta=90.00 gamma=90.00
Sites, in units of the cell vectors:
Ti  0.0000  0.0000  0.0000
Ti  0.5000  0.1981  0.1981
Al  0.0000  0.3482  0.3482
Ge  0.0000  0.6656  0.6656
Ge  0.5000  0.5328  0.5328
Ge  0.5000  0.8501  0.8501

Main lines, low angle first (10 to 90 degrees two-theta):
2θ (°)	d_spacing	Rel. int.
24.9	3.577	8.6
30.8	2.905	7.2
35.2	2.550	6.4
38.3	2.347	21.9
39.4	2.284	100.0
45.8	1.982	6.7
49.3	1.849	27.5
64.1	1.452	18.2
70.1	1.343	9.4
72.3	1.307	8.3
84.9	1.142	8.1
85.6	1.135	19.7



Simulated powder XRD pattern
Compound: CeMg3
Radiation: λ = 1.5418 Å (Cu Kα)
Structure: a crystal structure in the Materials Project, relaxed with GGA-PBE

Crystal structure
Unit cell a=4.7794 b=4.7794 c=4.7794 alpha=90.00 beta=90.00 gamma=90.00
Sites, in units of the cell vectors:
Ce  0.0000  0.0000  0.0000
Mg  0.0000  0.5000  0.5000
Mg  0.5000  0.0000  0.5000
Mg  0.5000  0.5000  0.0000

Main lines, low angle first (10 to 90 degrees two-theta):
2θ (°)	d_spacing	Rel. int.
18.6	4.779	80.5
26.4	3.380	69.7
32.4	2.759	100.0
37.6	2.390	49.9
42.3	2.137	39.7
46.5	1.951	30.2
54.3	1.690	34.0
57.9	1.593	19.8
61.3	1.511	13.3
64.7	1.441	39.5
74.2	1.277	15.2
89.4	1.096	16.3



Simulated powder XRD pattern
Compound: LiTiO2
Radiation: λ = 1.5418 Å (Cu Kα)
Structure: a crystal structure in the Materials Project, relaxed with GGA-PBE

Crystal structure
Unit cell a=5.2871 b=5.2871 c=5.2871 alpha=32.02 beta=32.02 gamma=32.02
Sites, in units of the cell vectors:
Li  0.0000  0.0000  0.0000
Ti  0.5000  0.5000  0.5000
O  0.2460  0.2460  0.2460
O  0.7540  0.7540  0.7540

Main lines, low angle first (10 to 90 degrees two-theta):
2θ (°)	d_spacing	Rel. int.
17.7	5.012	100.0
36.1	2.491	39.1
37.6	2.394	7.8
43.2	2.096	93.6
47.0	1.934	14.6
56.2	1.636	12.3
61.5	1.508	26.8
63.8	1.458	23.8
66.8	1.400	12.1
75.9	1.253	4.2
79.8	1.202	4.3
80.2	1.197	10.9